1.
# Ba3AsCl3
Theoretical X-ray diffraction stick pattern, Cu Kα (weighted mean of Kα1 and Kα2). Input: a PBE-relaxed structure.
No peak broadening, texture or thermal motion is included.

Crystal structure
```
data_Ba3AsCl3
_cell_length_a 9.370
_cell_length_b 9.370
_cell_length_c 9.370
_cell_angle_alpha 120.58
_cell_angle_beta 118.65
_cell_angle_gamma 90.68
_space_group_name_H-M_alt 'P 1'
_space_group_IT_number 1
loop_
_space_group_symop_operation_xyz
'x,y,z'
loop_
_atom_site_label
_atom_site_type_symbol
_atom_site_fract_x
_atom_site_fract_y
_atom_site_fract_z
Ba1 Ba 0.255 0.005 0.250
Ba2 Ba 0.270 0.000 0.770
Ba3 Ba 0.270 0.500 0.270
Ba4 Ba 0.730 0.000 0.230
Ba5 Ba 0.730 0.500 0.730
Ba6 Ba 0.745 0.995 0.750
As1 As 0.491 0.241 0.250
As2 As 0.509 0.759 0.750
Cl1 Cl 0.000 0.218 0.218
Cl2 Cl 0.000 0.782 0.782
Cl3 Cl 0.010 0.760 0.250
Cl4 Cl 0.500 0.218 0.718
Cl5 Cl 0.500 0.782 0.282
Cl6 Cl 0.990 0.240 0.750
```

Most intense lines, 2θ = 10–90°, low angle first:
Position (°2θ)	intensity
11.7	50
13.4	22
23.4	19
26.8	100
27.1	50
37.6	18
38.4	73
38.8	18
47.0	19
47.9	19



2.
# Ba4As2ICl
Theoretical X-ray diffraction stick pattern, Cu Kα (weighted mean of Kα1 and Kα2). Input: a PBE-relaxed structure.
No peak broadening, texture or thermal motion is included.

Crystal structure
```
data_Ba4As2ICl
_cell_length_a 8.369
_cell_length_b 4.803
_cell_length_c 8.565
_cell_angle_alpha 90.00
_cell_angle_beta 108.92
_cell_angle_gamma 90.00
_space_group_name_H-M_alt 'P 1'
_space_group_IT_number 1
loop_
_space_group_symop_operation_xyz
'x,y,z'
loop_
_atom_site_label
_atom_site_type_symbol
_atom_site_fract_x
_atom_site_fract_y
_atom_site_fract_z
Ba1 Ba 0.232 0.000 0.211
Ba2 Ba 0.255 0.500 0.783
Ba3 Ba 0.745 0.500 0.217
Ba4 Ba 0.768 0.000 0.789
As1 As 0.000 0.500 0.000
As2 As 0.500 0.000 0.000
I1 I 0.500 0.500 0.500
Cl1 Cl 0.000 0.000 0.500
```

Most intense lines, 2θ = 10–90°, low angle first:
Position (°2θ)	intensity
25.9	100
36.6	33
37.3	27
37.5	13
45.9	7
46.1	14
53.3	7
59.6	8
60.6	12
67.1	7



3.
# Ba5As3ClO12
Theoretical X-ray diffraction stick pattern, Cu Kα (weighted mean of Kα1 and Kα2). Input: a PBE-relaxed structure.
No peak broadening, texture or thermal motion is included.

Crystal structure
```
data_Ba5As3ClO12
_cell_length_a 10.773
_cell_length_b 10.773
_cell_length_c 7.840
_cell_angle_alpha 90.00
_cell_angle_beta 90.00
_cell_angle_gamma 120.00
_space_group_name_H-M_alt 'P 1'
_space_group_IT_number 1
loop_
_space_group_symop_operation_xyz
'x,y,z'
loop_
_atom_site_label
_atom_site_type_symbol
_atom_site_fract_x
_atom_site_fract_y
_atom_site_fract_z
Ba1 Ba 0.007 0.255 0.250
Ba2 Ba 0.248 0.993 0.250
Ba3 Ba 0.255 0.248 0.750
Ba4 Ba 0.333 0.667 0.001
Ba5 Ba 0.333 0.667 0.499
Ba6 Ba 0.667 0.333 0.501
Ba7 Ba 0.667 0.333 0.999
Ba8 Ba 0.745 0.752 0.250
Ba9 Ba 0.752 0.007 0.750
Ba10 Ba 0.993 0.745 0.750
As1 As 0.034 0.406 0.750
As2 As 0.372 0.966 0.750
As3 As 0.406 0.372 0.250
As4 As 0.594 0.628 0.750
As5 As 0.628 0.034 0.250
As6 As 0.966 0.594 0.250
Cl1 Cl 0.000 0.000 0.000
Cl2 Cl 0.000 0.000 0.500
O1 O 0.094 0.356 0.573
O2 O 0.094 0.356 0.927
O3 O 0.122 0.592 0.750
O4 O 0.150 0.668 0.250
O5 O 0.262 0.906 0.573
O6 O 0.262 0.906 0.927
O7 O 0.332 0.481 0.250
O8 O 0.356 0.262 0.073
O9 O 0.356 0.262 0.427
O10 O 0.408 0.530 0.750
O11 O 0.470 0.878 0.750
O12 O 0.481 0.150 0.750
O13 O 0.519 0.850 0.250
O14 O 0.530 0.122 0.250
O15 O 0.592 0.470 0.250
O16 O 0.644 0.738 0.573
O17 O 0.644 0.738 0.927
O18 O 0.668 0.519 0.750
O19 O 0.738 0.094 0.073
O20 O 0.738 0.094 0.427
O21 O 0.850 0.332 0.750
O22 O 0.878 0.408 0.250
O23 O 0.906 0.644 0.073
O24 O 0.906 0.644 0.427
```

Most intense lines, 2θ = 10–90°, low angle first:
Position (°2θ)	intensity
25.3	23
27.7	100
28.2	93
28.7	56
40.6	36
43.1	32
43.8	21
44.5	18
55.4	23
66.2	18



4.
# Ba4AsSe2Cl
Theoretical X-ray diffraction stick pattern, Cu Kα (weighted mean of Kα1 and Kα2). Input: a PBE-relaxed structure.
No peak broadening, texture or thermal motion is included.

Crystal structure
```
data_Ba4AsSe2Cl
_cell_length_a 8.150
_cell_length_b 4.744
_cell_length_c 8.166
_cell_angle_alpha 90.00
_cell_angle_beta 108.90
_cell_angle_gamma 90.00
_space_group_name_H-M_alt 'P 1'
_space_group_IT_number 1
loop_
_space_group_symop_operation_xyz
'x,y,z'
loop_
_atom_site_label
_atom_site_type_symbol
_atom_site_fract_x
_atom_site_fract_y
_atom_site_fract_z
Ba1 Ba 0.235 0.000 0.244
Ba2 Ba 0.242 0.500 0.746
Ba3 Ba 0.758 0.500 0.254
Ba4 Ba 0.765 0.000 0.756
As1 As 0.000 0.000 0.500
Se1 Se 0.000 0.500 0.000
Se2 Se 0.500 0.000 0.000
Cl1 Cl 0.500 0.500 0.500
```

Most intense lines, 2θ = 10–90°, low angle first:
Position (°2θ)	intensity
23.0	27
26.6	100
26.9	49
37.9	38
38.1	75
47.1	31
61.9	17
62.0	17
62.4	17
68.6	20



5.
# BaCo6As4
Theoretical X-ray diffraction stick pattern, Cu Kα (weighted mean of Kα1 and Kα2). Input: a PBE-relaxed structure.
No peak broadening, texture or thermal motion is included.

Crystal structure
```
data_BaCo6As4
_cell_length_a 12.275
_cell_length_b 12.275
_cell_length_c 12.275
_cell_angle_alpha 162.01
_cell_angle_beta 162.01
_cell_angle_gamma 25.54
_space_group_name_H-M_alt 'P 1'
_space_group_IT_number 1
loop_
_space_group_symop_operation_xyz
'x,y,z'
loop_
_atom_site_label
_atom_site_type_symbol
_atom_site_fract_x
_atom_site_fract_y
_atom_site_fract_z
Ba1 Ba 0.000 0.000 0.000
Co1 Co 0.137 0.637 0.500
Co2 Co 0.250 0.750 0.500
Co3 Co 0.363 0.863 0.500
Co4 Co 0.637 0.137 0.500
Co5 Co 0.750 0.250 0.500
Co6 Co 0.863 0.363 0.500
As1 As 0.194 0.194 0.000
As2 As 0.417 0.417 0.000
As3 As 0.583 0.583 0.000
As4 As 0.806 0.806 0.000
```

Most intense lines, 2θ = 10–90°, low angle first:
Position (°2θ)	intensity
29.8	100
33.9	24
35.1	10
36.4	12
45.1	30
47.4	47
50.9	48
57.0	33
69.2	14
89.7	8



6.
# BaCoAs2Ir
Theoretical X-ray diffraction stick pattern, Cu Kα (weighted mean of Kα1 and Kα2). Input: a PBE-relaxed structure.
No peak broadening, texture or thermal motion is included.

Crystal structure
```
data_BaCoAs2Ir
_cell_length_a 7.146
_cell_length_b 7.146
_cell_length_c 7.146
_cell_angle_alpha 147.54
_cell_angle_beta 147.54
_cell_angle_gamma 46.57
_space_group_name_H-M_alt 'P 1'
_space_group_IT_number 1
loop_
_space_group_symop_operation_xyz
'x,y,z'
loop_
_atom_site_label
_atom_site_type_symbol
_atom_site_fract_x
_atom_site_fract_y
_atom_site_fract_z
Ba1 Ba 0.000 0.000 0.000
Co1 Co 0.750 0.250 0.500
As1 As 0.355 0.355 0.000
As2 As 0.645 0.645 0.000
Ir1 Ir 0.250 0.750 0.500
```

Most intense lines, 2θ = 10–90°, low angle first:
Position (°2θ)	intensity
13.5	47
23.3	36
27.2	22
30.3	100
34.6	91
42.2	29
45.4	52
52.9	54
55.6	36
89.6	27